The following is a theoretical X-ray powder pattern of TmTiO3. It was derived from a DFT-relaxed cell (GGA-PBE, the Materials Project), using Cu Kα (λ = 1.5418 Å).

Structural model:
a = 5.674 Å, b = 7.650 Å, c = 5.286 Å
α = 90.00°, β = 90.00°, γ = 90.00°
Element x y z (fractional)
Tm  0.074  0.250  0.024
Tm  0.426  0.750  0.524
Tm  0.574  0.250  0.476
Tm  0.926  0.750  0.976
Ti  0.000  0.000  0.500
Ti  0.000  0.500  0.500
Ti  0.500  0.000  0.000
Ti  0.500  0.500  0.000
O  0.053  0.750  0.369
O  0.196  0.564  0.813
O  0.196  0.936  0.813
O  0.304  0.064  0.313
O  0.304  0.436  0.313
O  0.447  0.250  0.869
O  0.553  0.750  0.131
O  0.696  0.564  0.687
O  0.696  0.936  0.687
O  0.804  0.064  0.187
O  0.804  0.436  0.187
O  0.947  0.250  0.631

Peak list (10 most intense, 2θ from 5° to 70°, low angle first)
23.0 deg, I 32
23.3 deg, I 23
25.8 deg, I 30
31.5 deg, I 15
32.9 deg, I 100
33.7 deg, I 19
33.9 deg, I 23
48.6 deg, I 19
52.8 deg, I 24
60.1 deg, I 28

---

The following is a theoretical X-ray powder pattern of Tm5Ti5O17. It was derived from a DFT-relaxed cell (GGA-PBE, the Materials Project), using Cu Kα (λ = 1.5418 Å).

Structural model:
a = 3.802 Å, b = 5.423 Å, c = 31.872 Å
α = 90.00°, β = 90.00°, γ = 90.00°
Element x y z (fractional)
Tm  0.000  0.179  0.000
Tm  0.000  0.230  0.225
Tm  0.000  0.318  0.451
Tm  0.000  0.706  0.323
Tm  0.000  0.757  0.130
Tm  0.500  0.243  0.630
Tm  0.500  0.294  0.823
Tm  0.500  0.682  0.951
Tm  0.500  0.770  0.725
Tm  0.500  0.821  0.500
Ti  0.000  0.216  0.900
Ti  0.000  0.242  0.729
Ti  0.000  0.273  0.551
Ti  0.000  0.739  0.813
Ti  0.000  0.748  0.638
Ti  0.500  0.252  0.138
Ti  0.500  0.261  0.313
Ti  0.500  0.727  0.051
Ti  0.500  0.758  0.229
Ti  0.500  0.784  0.400
O  0.000  0.033  0.844
O  0.000  0.042  0.502
O  0.000  0.048  0.674
O  0.000  0.302  0.302
O  0.000  0.314  0.150
O  0.000  0.379  0.783
O  0.000  0.429  0.608
O  0.000  0.448  0.949
O  0.000  0.513  0.859
O  0.000  0.539  0.513
O  0.000  0.541  0.700
O  0.000  0.754  0.395
O  0.000  0.777  0.058
O  0.000  0.811  0.230
O  0.000  0.890  0.757
O  0.000  0.948  0.940
O  0.000  0.958  0.594
O  0.500  0.042  0.094
O  0.500  0.052  0.440
O  0.500  0.110  0.257
O  0.500  0.189  0.730
O  0.500  0.223  0.558
O  0.500  0.246  0.895
O  0.500  0.459  0.200
O  0.500  0.461  0.013
O  0.500  0.487  0.359
O  0.500  0.552  0.449
O  0.500  0.571  0.108
O  0.500  0.621  0.283
O  0.500  0.686  0.650
O  0.500  0.698  0.802
O  0.500  0.952  0.174
O  0.500  0.958  0.002
O  0.500  0.967  0.344

Peak list (10 most intense, 2θ from 5° to 70°, low angle first)
16.7 deg, I 18
21.5 deg, I 50
28.0 deg, I 22
30.8 deg, I 100
33.0 deg, I 29
33.4 deg, I 25
34.6 deg, I 30
35.1 deg, I 16
47.8 deg, I 25
48.6 deg, I 23